Record 1
For K2Th3Se6, a GGA-PBE-relaxed structure gives the theoretical X-ray powder pattern in this record (Cu Kα, 1.54184 Å).
Kinematic intensities with the Lorentz-polarization factor, no thermal factor.

Structural model:
```
data_K2Th3Se6
_chemical_formula_sum 'K4 Th6 Se12'
_symmetry_space_group_name_H-M 'C 1 2/m 1'
_symmetry_Int_Tables_number 12
_cell_length_a 7.329
_cell_length_b 12.687
_cell_length_c 8.338
_cell_angle_alpha 90.00
_cell_angle_beta 106.99
_cell_angle_gamma 90.00
loop_
_symmetry_equiv_pos_as_xyz
'x,y,z'
'-x,-y,-z'
'-x,y,-z'
'x,-y,z'
'x+1/2,y+1/2,z'
'-x+1/2,-y+1/2,-z'
'-x+1/2,y+1/2,-z'
'x+1/2,-y+1/2,z'
loop_
_atom_site_label
_atom_site_fract_x
_atom_site_fract_y
_atom_site_fract_z
_atom_site_occupancy
K1 0.000 0.167 0.000 1
Th1 0.000 0.000 0.500 1
Th2 0.000 0.334 0.500 1
Se1 0.237 0.167 0.711 1
Se2 0.238 0.500 0.713 1
```

Peak list (6 most intense, 2θ from 10° to 90°, in order of rising 2θ)
| 2θ (°) | I/Imax | h k l |
| --- | --- | --- |
| 11.10 | 952 | 0 0 1 |
| 24.58 | 292 | 1 3 0 |
| 28.57 | 1000 | 1 3 1 |
| 35.94 | 267 | 1 3 2 |
| 38.88 | 388 | 2 0 2 |
| 42.75 | 349 | 0 6 0 |

Record 2
For K3Th3USe8, a GGA-PBE-relaxed structure gives the theoretical X-ray powder pattern in this record (Cu Kα, 1.54184 Å).
Kinematic intensities with the Lorentz-polarization factor, no thermal factor.

Structural model:
```
data_K3Th3USe8
_chemical_formula_sum 'K9 Th9 U3 Se24'
_symmetry_space_group_name_H-M 'R -3 m'
_symmetry_Int_Tables_number 166
_symmetry_space_group_name_Hall '-R 3 2"'
_cell_length_a 8.4604
_cell_length_b 8.4604
_cell_length_c 23.7826
_cell_angle_alpha 90.00
_cell_angle_beta 90.00
_cell_angle_gamma 120.00
loop_
_atom_site_label
_atom_site_fract_x
_atom_site_fract_y
_atom_site_fract_z
_atom_site_occupancy
K1 0.0000 0.5000 0.0000 1
Th1 0.0000 0.5000 0.5000 1
U1 0.0000 0.0000 0.5000 1
Se1 0.0000 0.0000 0.2389 1
Se2 0.0016 0.5008 0.2361 1
```

Peak list (6 most intense, 2θ from 10° to 90°, in order of rising 2θ)
| 2θ (°) | I/Imax | h k l |
| --- | --- | --- |
| 11.16 | 914 | 0 0 3 |
| 24.59 | 278 | 0 2 1 |
| 28.62 | 1000 | 0 2 4 |
| 36.05 | 261 | 0 2 7 |
| 39.02 | 383 | 2 0 8 |
| 42.75 | 351 | 2 2 0 |

Record 3
For K3TiSe4, a GGA-PBE-relaxed structure gives the theoretical X-ray powder pattern in this record (Cu Kα, 1.54184 Å).
Kinematic intensities with the Lorentz-polarization factor, no thermal factor.

Structural model:
```
data_K3TiSe4
_chemical_formula_sum 'K12 Ti4 Se16'
_symmetry_space_group_name_H-M 'P n m a'
_symmetry_Int_Tables_number 62
_cell_length_a 9.324
_cell_length_b 10.901
_cell_length_c 10.240
_cell_angle_alpha 90.00
_cell_angle_beta 90.00
_cell_angle_gamma 90.00
loop_
_symmetry_equiv_pos_as_xyz
'x,y,z'
'-x,-y,-z'
'-x+1/2,-y,z+1/2'
'x+1/2,y,-z+1/2'
'x+1/2,-y+1/2,-z+1/2'
'-x+1/2,y+1/2,z+1/2'
'-x,y+1/2,-z'
'x,-y+1/2,z'
loop_
_atom_site_label
_atom_site_fract_x
_atom_site_fract_y
_atom_site_fract_z
_atom_site_occupancy
K1 0.045 0.045 0.197 1
K2 0.160 0.750 0.422 1
Ti1 0.250 0.250 0.473 1
Se1 0.029 0.750 0.090 1
Se2 0.143 0.054 0.533 1
Se3 0.205 0.750 0.746 1
```

Peak list (6 most intense, 2θ from 10° to 90°, in order of rising 2θ)
| 2θ (°) | I/Imax | h k l |
| --- | --- | --- |
| 15.21 | 673 | 1 1 1 |
| 20.77 | 825 | 1 2 1 |
| 27.38 | 911 | 0 1 3 |
| 30.05 | 951 | 3 0 1 |
| 31.21 | 1000 | 2 3 0 |
| 32.43 | 925 | 2 3 1 |

Record 4
For K6TiSe4, a GGA-PBE-relaxed structure gives the theoretical X-ray powder pattern in this record (Cu Kα, 1.54184 Å).
Kinematic intensities with the Lorentz-polarization factor, no thermal factor.

Structural model:
```
data_K6TiSe4
_chemical_formula_sum 'K12 Ti2 Se8'
_symmetry_space_group_name_H-M 'P 63 m c'
_symmetry_Int_Tables_number 186
_symmetry_space_group_name_Hall 'P 6c -2c'
_cell_length_a 10.4881
_cell_length_b 10.4881
_cell_length_c 8.0009
_cell_angle_alpha 90.00
_cell_angle_beta 90.00
_cell_angle_gamma 120.00
loop_
_atom_site_label
_atom_site_fract_x
_atom_site_fract_y
_atom_site_fract_z
_atom_site_occupancy
K1 0.0607 0.5303 0.0000 1
K2 0.1373 0.2747 0.6795 1
Ti1 0.3333 0.6667 0.3906 1
Se1 0.2009 0.4018 0.2893 1
Se2 0.3333 0.6667 0.7086 1
```

Peak list (6 most intense, 2θ from 10° to 90°, in order of rising 2θ)
| 2θ (°) | I/Imax | h k l |
| --- | --- | --- |
| 14.75 | 386 | 1 0 1 |
| 22.51 | 436 | 2 0 1 |
| 28.29 | 848 | 2 1 1 |
| 29.76 | 1000 | 2 0 2 |
| 31.60 | 817 | 3 0 1 |
| 34.20 | 817 | 2 2 0 |

Record 5
For KTiSe4, a GGA-PBE-relaxed structure gives the theoretical X-ray powder pattern in this record (Cu Kα, 1.54184 Å).
Kinematic intensities with the Lorentz-polarization factor, no thermal factor.

Structural model:
```
data_KTiSe4
_chemical_formula_sum 'K4 Ti4 Se16'
_symmetry_space_group_name_H-M 'C 1 2/c 1'
_symmetry_Int_Tables_number 15
_cell_length_a 7.891
_cell_length_b 13.977
_cell_length_c 6.529
_cell_angle_alpha 90.00
_cell_angle_beta 112.20
_cell_angle_gamma 90.00
loop_
_symmetry_equiv_pos_as_xyz
'x,y,z'
'-x,-y,-z'
'-x,y,-z+1/2'
'x,-y,z+1/2'
'x+1/2,y+1/2,z'
'-x+1/2,-y+1/2,-z'
'-x+1/2,y+1/2,-z+1/2'
'x+1/2,-y+1/2,z+1/2'
loop_
_atom_site_label
_atom_site_fract_x
_atom_site_fract_y
_atom_site_fract_z
_atom_site_occupancy
K1 0.000 0.140 0.250 1
Ti1 0.000 0.500 0.250 1
Se1 0.054 0.356 0.524 1
Se2 0.241 0.081 0.878 1
```

Peak list (6 most intense, 2θ from 10° to 90°, in order of rising 2θ)
| 2θ (°) | I/Imax | h k l |
| --- | --- | --- |
| 13.68 | 1000 | 1 1 0 |
| 28.09 | 715 | 1 1 -2 |
| 33.54 | 474 | 1 3 -2 |
| 35.57 | 701 | 2 2 1 |
| 39.38 | 439 | 3 3 -1 |
| 42.57 | 430 | 1 5 -2 |

Record 6
For K2TiSe2, a GGA-PBE-relaxed structure gives the theoretical X-ray powder pattern in this record (Cu Kα, 1.54184 Å).
Kinematic intensities with the Lorentz-polarization factor, no thermal factor.

Structural model:
```
data_K2TiSe2
_chemical_formula_sum 'K8 Ti4 Se8'
_symmetry_space_group_name_H-M 'I b a m'
_symmetry_Int_Tables_number 72
_symmetry_space_group_name_Hall '-I 2 2c'
_cell_length_a 7.356
_cell_length_b 13.343
_cell_length_c 6.262
_cell_angle_alpha 90.00
_cell_angle_beta 90.00
_cell_angle_gamma 90.00
loop_
_atom_site_label
_atom_site_fract_x
_atom_site_fract_y
_atom_site_fract_z
_atom_site_occupancy
K1 0.156 0.150 0.000 1
Ti1 0.000 0.500 0.250 1
Se1 0.197 0.398 0.000 1
```

Peak list (6 most intense, 2θ from 10° to 90°, in order of rising 2θ)
| 2θ (°) | I/Imax | h k l |
| --- | --- | --- |
| 13.75 | 819 | 1 1 0 |
| 22.93 | 755 | 1 2 1 |
| 28.94 | 1000 | 2 1 1 |
| 32.77 | 708 | 1 4 1 |
| 37.73 | 681 | 2 0 2 |
| 39.47 | 883 | 0 4 2 |

Record 7
For K5TiSe4, a GGA-PBE-relaxed structure gives the theoretical X-ray powder pattern in this record (Cu Kα, 1.54184 Å).
Kinematic intensities with the Lorentz-polarization factor, no thermal factor.

Structural model:
```
data_K5TiSe4
_chemical_formula_sum 'K10 Ti2 Se8'
_symmetry_space_group_name_H-M 'P m m n'
_symmetry_Int_Tables_number 59
_cell_length_a 9.740
_cell_length_b 10.125
_cell_length_c 7.717
_cell_angle_alpha 90.00
_cell_angle_beta 90.00
_cell_angle_gamma 90.00
loop_
_symmetry_equiv_pos_as_xyz
'x,y,z'
'-x,-y,-z'
'-x+1/2,-y+1/2,z'
'x+1/2,y+1/2,-z'
'x+1/2,-y,-z'
'-x+1/2,y,z'
'-x,y+1/2,-z'
'x,-y+1/2,z'
loop_
_atom_site_label
_atom_site_fract_x
_atom_site_fract_y
_atom_site_fract_z
_atom_site_occupancy
K1 0.010 0.056 0.239 1
K2 0.250 0.750 0.341 1
Ti1 0.250 0.250 0.714 1
Se1 0.034 0.250 0.894 1
Se2 0.250 0.043 0.534 1
```

Peak list (6 most intense, 2θ from 10° to 90°, in order of rising 2θ)
| 2θ (°) | I/Imax | h k l |
| --- | --- | --- |
| 14.43 | 454 | 0 1 1 |
| 20.99 | 506 | 0 2 1 |
| 21.58 | 1000 | 2 0 1 |
| 28.87 | 449 | 0 3 1 |
| 30.86 | 350 | 2 1 2 |
| 34.55 | 689 | 2 2 2 |

Record 8
For K2Tm2TiSe6, a GGA-PBE-relaxed structure gives the theoretical X-ray powder pattern in this record (Cu Kα, 1.54184 Å).
Kinematic intensities with the Lorentz-polarization factor, no thermal factor.

Structural model:
```
data_K2Tm2TiSe6
_chemical_formula_sum 'K4 Tm4 Ti2 Se12'
_symmetry_space_group_name_H-M 'C 1 2/m 1'
_symmetry_Int_Tables_number 12
_cell_length_a 6.918
_cell_length_b 11.870
_cell_length_c 8.212
_cell_angle_alpha 90.00
_cell_angle_beta 107.01
_cell_angle_gamma 90.00
loop_
_symmetry_equiv_pos_as_xyz
'x,y,z'
'-x,-y,-z'
'-x,y,-z'
'x,-y,z'
'x+1/2,y+1/2,z'
'-x+1/2,-y+1/2,-z'
'-x+1/2,y+1/2,-z'
'x+1/2,-y+1/2,z'
loop_
_atom_site_label
_atom_site_fract_x
_atom_site_fract_y
_atom_site_fract_z
_atom_site_occupancy
K1 0.000 0.172 0.000 1
Tm1 0.000 0.333 0.500 1
Ti1 0.000 0.000 0.500 1
Se1 0.225 0.155 0.695 1
Se2 0.242 0.000 0.307 1
```

Peak list (6 most intense, 2θ from 10° to 90°, in order of rising 2θ)
| 2θ (°) | I/Imax | h k l |
| --- | --- | --- |
| 11.27 | 1000 | 0 0 1 |
| 29.80 | 372 | 2 0 -2 |
| 30.20 | 788 | 1 3 1 |
| 37.53 | 218 | 1 3 2 |
| 40.22 | 240 | 1 3 -3 |
| 45.53 | 247 | 3 3 -1 |